Record 1
# Ag4IBr3
Theoretical PXRD pattern, Cu Kα. Input: the GGA-PBE geometry in OQMD.

Top 8 peaks for 10° ≤ 2θ ≤ 80°, in order of falling intensity:
- 24.80°, I 100
- 13.83°, I 73
- 44.11°, I 66
- 29.88°, I 59
- 50.87°, I 55
- 30.07°, I 50
- 36.15°, I 39
- 42.35°, I 33

Structural model:
```
data_Ag4IBr3
_symmetry_space_group_name_H-M 'P 1'
_symmetry_Int_Tables_number 1
_symmetry_space_group_name_Hall 'P 1'
_cell_length_a 4.335
_cell_length_b 4.335
_cell_length_c 12.806
_cell_angle_alpha 90.00
_cell_angle_beta 90.00
_cell_angle_gamma 90.38
loop_
_atom_site_label
_atom_site_type_symbol
_atom_site_fract_x
_atom_site_fract_y
_atom_site_fract_z
_atom_site_occupancy
Ag1 Ag 0.249 0.249 0.491 1
Ag2 Ag 0.250 0.750 0.000 1
Ag3 Ag 0.750 0.250 0.000 1
Ag4 Ag 0.751 0.751 0.491 1
I1 I 0.500 0.500 0.659 1
Br1 Br 0.000 0.000 0.334 1
Br2 Br 0.000 0.000 0.845 1
Br3 Br 0.500 0.500 0.154 1
```

Record 2
# Cs2AgMoSe4
Theoretical PXRD pattern, Cu Kα. Input: the GGA-PBE geometry in OQMD.

Top 8 peaks for 10° ≤ 2θ ≤ 80°, in order of falling intensity:
- 25.47°, I 100
- 24.28°, I 69
- 29.15°, I 61
- 13.95°, I 61
- 35.84°, I 47
- 47.36°, I 33
- 42.76°, I 29
- 31.26°, I 28

Structural model:
```
data_Cs2AgMoSe4
_symmetry_space_group_name_H-M 'P 1'
_symmetry_Int_Tables_number 1
_symmetry_space_group_name_Hall 'P 1'
_cell_length_a 14.664
_cell_length_b 13.080
_cell_length_c 7.954
_cell_angle_alpha 84.67
_cell_angle_beta 62.64
_cell_angle_gamma 32.69
loop_
_atom_site_label
_atom_site_type_symbol
_atom_site_fract_x
_atom_site_fract_y
_atom_site_fract_z
_atom_site_occupancy
Cs1 Cs 0.055 0.055 0.695 1
Cs2 Cs 0.305 0.305 0.945 1
Cs3 Cs 0.695 0.695 0.055 1
Cs4 Cs 0.945 0.945 0.305 1
Ag1 Ag 0.375 0.375 0.375 1
Ag2 Ag 0.625 0.625 0.625 1
Mo1 Mo 0.125 0.125 0.125 1
Mo2 Mo 0.875 0.875 0.875 1
Se1 Se 0.061 0.299 0.383 1
Se2 Se 0.243 0.617 0.701 1
Se3 Se 0.299 0.061 0.757 1
Se4 Se 0.383 0.757 0.061 1
Se5 Se 0.617 0.243 0.939 1
Se6 Se 0.701 0.939 0.243 1
Se7 Se 0.757 0.383 0.299 1
Se8 Se 0.939 0.701 0.617 1
```

Record 3
# TmAl4Ag8
Theoretical PXRD pattern, Cu Kα. Input: the GGA-PBE geometry in OQMD.

Top 8 peaks for 10° ≤ 2θ ≤ 80°, in order of falling intensity:
- 38.85°, I 100
- 33.44°, I 77
- 70.39°, I 34
- 43.63°, I 33
- 38.89°, I 27
- 27.22°, I 20
- 63.35°, I 18
- 52.19°, I 16

Structural model:
```
data_TmAl4Ag8
_symmetry_space_group_name_H-M 'P 1'
_symmetry_Int_Tables_number 1
_symmetry_space_group_name_Hall 'P 1'
_cell_length_a 7.078
_cell_length_b 7.078
_cell_length_c 7.078
_cell_angle_alpha 98.27
_cell_angle_beta 98.27
_cell_angle_gamma 135.43
loop_
_atom_site_label
_atom_site_type_symbol
_atom_site_fract_x
_atom_site_fract_y
_atom_site_fract_z
_atom_site_occupancy
Tm1 Tm 0.000 0.000 0.000 1
Al1 Al 0.000 0.000 0.500 1
Al2 Al 0.000 0.500 0.000 1
Al3 Al 0.500 0.000 0.000 1
Al4 Al 0.500 0.500 0.500 1
Ag1 Ag 0.000 0.341 0.341 1
Ag2 Ag 0.000 0.659 0.659 1
Ag3 Ag 0.284 0.500 0.784 1
Ag4 Ag 0.341 0.000 0.341 1
Ag5 Ag 0.500 0.284 0.784 1
Ag6 Ag 0.500 0.716 0.216 1
Ag7 Ag 0.659 0.000 0.659 1
Ag8 Ag 0.716 0.500 0.216 1
```